No. 1
Calculated X-ray powder pattern of InAsHBr2 for λ = 1.5418 Å (Cu Kα), from the PBE geometry in Alexandria.
Neutral-atom scattering factors, no anomalous dispersion.

Crystal structure
```
data_InAsHBr2
_chemical_formula_sum 'In1 As1 H1 Br2'
_cell_length_a 5.6443
_cell_length_b 5.6443
_cell_length_c 3.5701
_cell_angle_alpha 90.00
_cell_angle_beta 90.00
_cell_angle_gamma 90.00
_symmetry_space_group_name_H-M 'P 4/m m m'
_symmetry_Int_Tables_number 123
_symmetry_space_group_name_Hall '-P 4 2'
loop_
_atom_site_label
_atom_site_type_symbol
_atom_site_fract_x
_atom_site_fract_y
_atom_site_fract_z
In1 In 0.0000 0.0000 0.0000
As1 As 0.5000 0.5000 0.0000
H1 H 0.5000 0.5000 0.5000
Br1 Br 0.0000 0.5000 0.5000
```

Largest 6 diffraction maxima, in order of falling intensity, 2θ from 5° to 70°:
(hkl), two_theta, Rel. int.
1 1 1, 33.7, 100.0
2 0 0, 31.7, 59.9
3 1 1, 57.7, 41.1
2 2 0, 45.5, 21.5
2 0 2, 61.5, 17.1
0 0 2, 51.2, 7.8



No. 2
Calculated X-ray powder pattern of Sm3HoPb2 for λ = 1.5418 Å (Cu Kα), from the PBE geometry in Alexandria.
Neutral-atom scattering factors, no anomalous dispersion.

Crystal structure
```
data_Sm3HoPb2
_chemical_formula_sum 'Sm3 Ho1 Pb2'
_cell_length_a 4.6199
_cell_length_b 4.6199
_cell_length_c 8.7597
_cell_angle_alpha 90.00
_cell_angle_beta 90.00
_cell_angle_gamma 90.00
_symmetry_space_group_name_H-M 'P -4 m 2'
_symmetry_Int_Tables_number 115
_symmetry_space_group_name_Hall 'P -4 -2'
loop_
_atom_site_label
_atom_site_type_symbol
_atom_site_fract_x
_atom_site_fract_y
_atom_site_fract_z
Sm1 Sm 0.0000 0.0000 0.0000
Sm2 Sm 0.0000 0.5000 0.6555
Ho1 Ho 0.5000 0.5000 0.0000
Pb1 Pb 0.0000 0.5000 0.2826
```

Largest 6 diffraction maxima, in order of falling intensity, 2θ from 5° to 70°:
(hkl), two_theta, Rel. int.
1 1 2, 34.2, 100.0
1 1 1, 29.2, 75.3
2 0 0, 39.0, 57.4
2 0 3, 50.4, 37.5
0 0 3, 30.6, 37.1
3 1 2, 67.6, 28.5



No. 3
Calculated X-ray powder pattern of Li4PtO3 for λ = 1.5418 Å (Cu Kα), from the PBE geometry in Alexandria.
Neutral-atom scattering factors, no anomalous dispersion.

Crystal structure
```
data_Li4PtO3
_chemical_formula_sum 'Li16 Pt4 O12'
_cell_length_a 10.5221
_cell_length_b 5.0056
_cell_length_c 6.9776
_cell_angle_alpha 90.00
_cell_angle_beta 111.00
_cell_angle_gamma 90.00
_symmetry_space_group_name_H-M 'C 1 c 1'
_symmetry_Int_Tables_number 9
_symmetry_space_group_name_Hall 'C -2yc'
loop_
_atom_site_label
_atom_site_type_symbol
_atom_site_fract_x
_atom_site_fract_y
_atom_site_fract_z
Li1 Li 0.0000 0.1219 0.0000
Li2 Li 0.2377 0.1801 0.4248
Li3 Li 0.2968 0.2969 0.0920
Li4 Li 0.3809 0.1334 0.8057
Pt1 Pt 0.1102 0.3863 0.6863
O1 O 0.1847 0.0207 0.6617
O2 O 0.3137 0.4770 0.8415
O3 O 0.4275 0.0304 0.5758
```

Largest 6 diffraction maxima, in order of falling intensity, 2θ from 5° to 70°:
(hkl), two_theta, Rel. int.
1 1 0, 19.9, 100.0
2 0 0, 18.1, 91.4
2 0 -2, 26.9, 62.6
1 1 -1, 22.2, 61.6
0 0 2, 27.4, 48.4
1 1 -2, 31.3, 45.2